[1]
This entry pairs a crystal structure of Hf6Si2N with its simulated XRD peak list. Radiation: copper Kα. Structure: a structure optimized by DFT (PBE).

Cell and atoms:
Lattice parameters (Å, degrees): 5.7461 5.7461 10.9851 90.00 90.00 90.00
Positions (direct):
1 Hf 0.1922 0.1922 0.1455
2 Hf 0.1922 0.1922 0.8545
3 Hf 0.2202 0.2202 0.5000
4 Hf 0.2798 0.7202 0.0000
5 Hf 0.3078 0.6922 0.3545
6 Hf 0.3078 0.6922 0.6455
7 Hf 0.6922 0.3078 0.3545
8 Hf 0.6922 0.3078 0.6455
9 Hf 0.7202 0.2798 0.0000
10 Hf 0.7798 0.7798 0.5000
11 Hf 0.8078 0.8078 0.1455
12 Hf 0.8078 0.8078 0.8545
13 Si 0.0000 0.0000 0.3303
14 Si 0.0000 0.0000 0.6697
15 Si 0.5000 0.5000 0.1697
16 Si 0.5000 0.5000 0.8303
17 N 0.0000 0.0000 0.0000
18 N 0.5000 0.5000 0.5000

Largest 10 diffraction maxima, sorted by position, 2θ from 5° to 70°:
2θ (°)  I/Imax
31.1  43
32.9  100
34.9  33
43.0  11
44.6  16
54.0  21
56.5  17
59.9  9
63.7  11
67.2  13

---

[2]
This entry pairs a crystal structure of HfSiN3 with its simulated XRD peak list. Radiation: copper Kα. Structure: a structure optimized by DFT (PBE).

Cell and atoms:
Lattice parameters (Å, degrees): 3.5788 3.5788 3.5788 90.00 90.00 90.00
Positions (direct):
1 Hf 0.0000 0.0000 0.0000
2 Si 0.5000 0.5000 0.5000
3 N 0.0000 0.5000 0.5000
4 N 0.5000 0.0000 0.5000
5 N 0.5000 0.5000 0.0000

Largest 6 diffraction maxima, sorted by position, 2θ from 5° to 70°:
2θ (°)  I/Imax
24.9  58
35.5  100
43.8  35
51.0  28
57.6  26
63.7  38

---

[3]
This entry pairs a crystal structure of SmHf2TiN4 with its simulated XRD peak list. Radiation: copper Kα. Structure: a structure optimized by DFT (PBE).

Cell and atoms:
Lattice parameters (Å, degrees): 5.8927 5.8927 11.3787 90.00 90.00 148.16
Positions (direct):
1 Sm 0.1081 0.8919 0.7500
2 Sm 0.8919 0.1081 0.2500
3 Hf 0.3695 0.6305 0.5369
4 Hf 0.3695 0.6305 0.9631
5 Hf 0.6305 0.3695 0.0369
6 Hf 0.6305 0.3695 0.4631
7 Ti 0.1559 0.8441 0.2500
8 Ti 0.8441 0.1559 0.7500
9 N 0.0000 0.0000 0.0000
10 N 0.0000 0.0000 0.5000
11 N 0.2605 0.7395 0.1146
12 N 0.2605 0.7395 0.3854
13 N 0.4486 0.5514 0.7500
14 N 0.5514 0.4486 0.2500
15 N 0.7395 0.2605 0.6146
16 N 0.7395 0.2605 0.8854

Largest 10 diffraction maxima, sorted by position, 2θ from 5° to 70°:
2θ (°)  I/Imax
28.3  66
31.4  43
31.6  57
32.8  100
37.5  31
40.0  77
45.2  28
49.6  27
51.8  27
55.0  33

---

[4]
This entry pairs a crystal structure of SmY2HfN4 with its simulated XRD peak list. Radiation: copper Kα. Structure: a structure optimized by DFT (PBE).

Cell and atoms:
Lattice parameters (Å, degrees): 5.9233 3.4180 5.9551 90.00 109.19 90.00
Positions (direct):
1 Sm 0.0000 0.0000 0.0000
2 Y 0.5000 0.0000 0.5000
3 Y 0.5000 0.5000 0.0000
4 Hf 0.0000 0.5000 0.5000
5 N 0.2338 0.0000 0.7290
6 N 0.2428 0.5000 0.2673
7 N 0.7572 0.5000 0.7327
8 N 0.7662 0.0000 0.2710

Largest 10 diffraction maxima, sorted by position, 2θ from 5° to 70°:
2θ (°)  I/Imax
15.8  19
31.8  33
32.0  97
37.1  100
53.2  11
53.4  22
53.6  33
63.6  14
63.8  19
63.8  14

---

[5]
This entry pairs a crystal structure of Hf4SnN with its simulated XRD peak list. Radiation: copper Kα. Structure: a structure optimized by DFT (PBE).

Cell and atoms:
Lattice parameters (Å, degrees): 7.8692 5.1752 6.7353 90.00 112.44 90.00
Positions (direct):
1 Hf 0.1184 0.2477 0.3023
2 Hf 0.1184 0.2523 0.8023
3 Hf 0.2304 0.7293 0.1088
4 Hf 0.2304 0.7707 0.6088
5 Hf 0.7696 0.2293 0.3912
6 Hf 0.7696 0.2707 0.8912
7 Hf 0.8816 0.7477 0.1977
8 Hf 0.8816 0.7523 0.6977
9 Sn 0.5000 0.0000 0.0000
10 Sn 0.5000 0.5000 0.5000
11 N 0.0000 0.0000 0.0000
12 N 0.0000 0.5000 0.5000

Largest 10 diffraction maxima, sorted by position, 2θ from 5° to 70°:
2θ (°)  I/Imax
12.2  44
33.6  64
34.6  100
35.4  22
36.9  27
37.3  21
39.6  28
41.1  43
41.3  20
42.9  20

---

[6]
This entry pairs a crystal structure of Sr5Hf2N6 with its simulated XRD peak list. Radiation: copper Kα. Structure: a structure optimized by DFT (PBE).

Cell and atoms:
Lattice parameters (Å, degrees): 3.6546 11.6323 12.5245 90.00 90.07 90.00
Positions (direct):
1 Sr 0.0002 0.0000 0.0188
2 Sr 0.0000 0.0038 0.7488
3 Sr 0.9999 0.0045 0.4797
4 Sr 0.9998 0.5000 0.9812
5 Sr 0.0000 0.5038 0.2512
6 Sr 0.0001 0.5045 0.5203
7 Sr 0.0012 0.7100 0.7307
8 Sr 0.0012 0.7960 0.2303
9 Sr 0.9988 0.2100 0.2693
10 Sr 0.9988 0.2960 0.7697
11 Hf 0.4999 0.2392 0.9828
12 Hf 0.4999 0.2654 0.4830
13 Hf 0.5001 0.7392 0.0172
14 Hf 0.5001 0.7654 0.5170
15 N 0.0003 0.2306 0.0679
16 N 0.0003 0.2735 0.5684
17 N 0.9997 0.7306 0.9321
18 N 0.9997 0.7735 0.4316
19 N 0.4993 0.1232 0.3898
20 N 0.4993 0.3821 0.8905
21 N 0.5000 0.1081 0.8713
22 N 0.5000 0.3975 0.3725
23 N 0.5000 0.6081 0.1287
24 N 0.5000 0.8975 0.6275
25 N 0.5007 0.6232 0.6102
26 N 0.5007 0.8821 0.1095

Largest 10 diffraction maxima, sorted by position, 2θ from 5° to 70°:
2θ (°)  I/Imax
14.1  46
15.2  32
28.3  40
28.5  49
28.9  39
30.7  40
32.3  100
41.0  33
42.4  34
61.7  23

---

[7]
This entry pairs a crystal structure of SrHf2N with its simulated XRD peak list. Radiation: copper Kα. Structure: a structure optimized by DFT (PBE).

Cell and atoms:
Lattice parameters (Å, degrees): 6.7492 6.7492 6.7492 60.00 60.00 60.00
Positions (direct):
1 Sr 0.1250 0.1250 0.1250
2 Sr 0.8750 0.8750 0.8750
3 Hf 0.0000 0.5000 0.5000
4 Hf 0.5000 0.0000 0.5000
5 Hf 0.5000 0.5000 0.0000
6 Hf 0.5000 0.5000 0.5000
7 N 0.3750 0.3750 0.3750
8 N 0.6250 0.6250 0.6250

Largest 10 diffraction maxima, sorted by position, 2θ from 5° to 70°:
2θ (°)  I/Imax
16.1  48
26.4  16
31.1  100
32.5  70
37.7  18
41.2  13
49.6  37
54.4  41
64.0  13
64.8  29

---

[8]
This entry pairs a crystal structure of Sr3HfN3 with its simulated XRD peak list. Radiation: copper Kα. Structure: a structure optimized by DFT (PBE).

Cell and atoms:
Lattice parameters (Å, degrees): 9.0421 9.0421 10.3756 90.00 90.00 40.05
Positions (direct):
1 Sr 0.0622 0.3095 0.8570
2 Sr 0.1032 0.8968 0.8367
3 Sr 0.1905 0.4378 0.6430
4 Sr 0.3095 0.0622 0.1430
5 Sr 0.3968 0.6032 0.3367
6 Sr 0.4378 0.1905 0.3570
7 Sr 0.5622 0.8095 0.6430
8 Sr 0.6032 0.3968 0.6633
9 Sr 0.6905 0.9378 0.8570
10 Sr 0.8095 0.5622 0.3570
11 Sr 0.8968 0.1032 0.1633
12 Sr 0.9378 0.6905 0.1430
13 Hf 0.0915 0.0915 0.5000
14 Hf 0.4085 0.4085 0.0000
15 Hf 0.5915 0.5915 0.0000
16 Hf 0.9085 0.9085 0.5000
17 N 0.0585 0.6318 0.3868
18 N 0.1318 0.5585 0.8868
19 N 0.1831 0.8169 0.5960
20 N 0.3169 0.6831 0.0960
21 N 0.3682 0.9415 0.3868
22 N 0.4415 0.8682 0.8868
23 N 0.5585 0.1318 0.1132
24 N 0.6318 0.0585 0.6132
25 N 0.6831 0.3169 0.9040
26 N 0.8169 0.1831 0.4040
27 N 0.8682 0.4415 0.1132
28 N 0.9415 0.3682 0.6132

Largest 10 diffraction maxima, sorted by position, 2θ from 5° to 70°:
2θ (°)  I/Imax
17.5  41
27.1  22
27.4  27
30.1  100
31.2  96
31.9  39
36.2  31
47.5  27
53.0  23
58.7  19